1.
The following is a computed XRD peak list of DyHo3In2. It was derived from a structure optimized by DFT (GGA-PBE), using Cu Kα X-rays.
Intensities are scaled so that the largest is 1000.

Structural model:
Lattice parameters (Å, degrees): 5.3666 5.3666 6.6935 90.00 90.00 120.00
Positions (direct):
Dy 0.0000 0.0000 0.0000
Ho 0.3333 0.6667 0.5000
Ho 0.6667 0.3333 0.2507
Ho 0.6667 0.3333 0.7493
In 0.0000 0.0000 0.5000
In 0.3333 0.6667 0.0000

The 10 most intense peaks (10° ≤ 2θ ≤ 90°), in order of rising 2θ:
| Position (°2θ) | I (rel.) |
| --- | --- |
| 32.98 | 968 |
| 33.39 | 1000 |
| 47.64 | 346 |
| 54.86 | 81 |
| 59.42 | 357 |
| 59.69 | 187 |
| 65.77 | 279 |
| 70.14 | 115 |
| 79.72 | 153 |
| 85.40 | 139 |

2.
The following is a computed XRD peak list of Dy2HoLuIn2. It was derived from a structure optimized by DFT (GGA-PBE), using Cu Kα X-rays.
Intensities are scaled so that the largest is 1000.

Structural model:
Lattice parameters (Å, degrees): 5.3540 5.3540 6.6989 90.00 90.00 120.00
Positions (direct):
Dy 0.0000 0.0000 0.2494
Dy 0.0000 0.0000 0.7506
Ho 0.3333 0.6667 0.5000
Lu 0.6667 0.3333 0.0000
In 0.3333 0.6667 0.0000
In 0.6667 0.3333 0.5000

The 10 most intense peaks (10° ≤ 2θ ≤ 90°), in order of rising 2θ:
| Position (°2θ) | I (rel.) |
| --- | --- |
| 32.99 | 961 |
| 33.47 | 1000 |
| 47.71 | 343 |
| 54.82 | 81 |
| 59.53 | 353 |
| 59.84 | 187 |
| 65.77 | 281 |
| 70.33 | 115 |
| 79.90 | 151 |
| 85.49 | 140 |

3.
The following is a computed XRD peak list of DyHo2LuIn2. It was derived from a structure optimized by DFT (GGA-PBE), using Cu Kα X-rays.
Intensities are scaled so that the largest is 1000.

Structural model:
Lattice parameters (Å, degrees): 5.3422 5.3422 6.6693 90.00 90.00 120.00
Positions (direct):
Dy 0.0000 0.0000 0.0000
Ho 0.3333 0.6667 0.2532
Ho 0.3333 0.6667 0.7468
Lu 0.6667 0.3333 0.5000
In 0.0000 0.0000 0.5000
In 0.6667 0.3333 0.0000

The 10 most intense peaks (10° ≤ 2θ ≤ 90°), in order of rising 2θ:
| Position (°2θ) | I (rel.) |
| --- | --- |
| 33.12 | 963 |
| 33.55 | 1000 |
| 47.86 | 344 |
| 55.08 | 81 |
| 59.71 | 354 |
| 59.99 | 187 |
| 66.06 | 279 |
| 70.51 | 115 |
| 80.14 | 152 |
| 85.83 | 139 |

4.
The following is a computed XRD peak list of DyHoLu2In2. It was derived from a structure optimized by DFT (GGA-PBE), using Cu Kα X-rays.
Intensities are scaled so that the largest is 1000.

Structural model:
Lattice parameters (Å, degrees): 5.3195 5.3195 6.6544 90.00 90.00 120.00
Positions (direct):
Dy 0.0000 0.0000 0.0000
Ho 0.6667 0.3333 0.5000
Lu 0.3333 0.6667 0.2506
Lu 0.3333 0.6667 0.7494
In 0.0000 0.0000 0.5000
In 0.6667 0.3333 0.0000

The 10 most intense peaks (10° ≤ 2θ ≤ 90°), in order of rising 2θ:
| Position (°2θ) | I (rel.) |
| --- | --- |
| 33.22 | 994 |
| 33.70 | 1000 |
| 48.04 | 355 |
| 55.21 | 81 |
| 59.96 | 365 |
| 60.27 | 187 |
| 66.27 | 281 |
| 70.86 | 115 |
| 80.53 | 157 |
| 86.19 | 140 |

5.
The following is a computed XRD peak list of NdDy2HoIn2. It was derived from a structure optimized by DFT (GGA-PBE), using Cu Kα X-rays.
Intensities are scaled so that the largest is 1000.

Structural model:
Lattice parameters (Å, degrees): 5.4217 5.4217 6.7748 90.00 90.00 120.00
Positions (direct):
Nd 0.0000 0.0000 0.0000
Dy 0.6667 0.3333 0.2554
Dy 0.6667 0.3333 0.7446
Ho 0.3333 0.6667 0.5000
In 0.0000 0.0000 0.5000
In 0.3333 0.6667 0.0000

The 10 most intense peaks (10° ≤ 2θ ≤ 90°), in order of rising 2θ:
| Position (°2θ) | I (rel.) |
| --- | --- |
| 32.60 | 973 |
| 33.04 | 1000 |
| 47.10 | 349 |
| 54.15 | 81 |
| 58.73 | 360 |
| 59.02 | 188 |
| 64.92 | 280 |
| 69.33 | 116 |
| 78.73 | 154 |
| 84.24 | 137 |

6.
The following is a computed XRD peak list of Dy2Ho2InNi2Sn4. It was derived from a structure optimized by DFT (GGA-PBE), using Cu Kα X-rays.
Intensities are scaled so that the largest is 1000.

Structural model:
Lattice parameters (Å, degrees): 8.3783 8.3783 7.4173 108.66 108.66 31.45
Positions (direct):
Dy 0.0911 0.0911 0.3928
Dy 0.9089 0.9089 0.6072
Ho 0.1573 0.1573 0.9526
Ho 0.8427 0.8427 0.0474
In 0.5000 0.5000 0.0000
Ni 0.2792 0.2792 0.3528
Ni 0.7208 0.7208 0.6472
Sn 0.2982 0.2982 0.7269
Sn 0.4302 0.4302 0.3230
Sn 0.5698 0.5698 0.6770
Sn 0.7018 0.7018 0.2731

The 10 most intense peaks (10° ≤ 2θ ≤ 90°), in order of rising 2θ:
| Position (°2θ) | I (rel.) |
| --- | --- |
| 31.83 | 782 |
| 32.48 | 1000 |
| 33.35 | 272 |
| 34.23 | 304 |
| 34.39 | 478 |
| 35.52 | 233 |
| 38.61 | 257 |
| 39.69 | 531 |
| 52.79 | 220 |
| 56.57 | 169 |